Record 1
Calculated X-ray diffraction stick pattern of BaSrDyBiO6 for Cu Kα (λ = 1.5418 Å), from a cell relaxed with GGA-PBE.
No peak broadening, texture or thermal motion is included.

Structural model:
Lattice parameters (Å, degrees): 8.6539 8.6539 8.6539 90.00 90.00 90.00
Space group F-43m (No. 216)
One atom of each set of equivalent atoms:
Ba 0.0000 0.0000 0.0000
Sr 0.0000 0.0000 0.5000
Dy 0.2500 0.2500 0.2500
Bi 0.2500 0.2500 0.7500
O 0.0055 0.2500 0.7500

Largest 6 diffraction maxima, sorted by position, 15 to 90 degrees two-theta:
2theta  Rel. int.  (hkl)
29.19  100.0  2 2 0
41.75  29.1  4 0 0
51.75  42.0  4 2 2
60.52  18.7  4 4 0
68.58  18.6  6 2 0
83.62  22.4  6 4 2

=====

Record 2
Calculated X-ray diffraction stick pattern of BaEuBiSbO6 for Cu Kα (λ = 1.5418 Å), from a cell relaxed with GGA-PBE.
No peak broadening, texture or thermal motion is included.

Structural model:
Lattice parameters (Å, degrees): 8.6134 8.6134 8.6134 90.00 90.00 90.00
Space group F-43m (No. 216)
One atom of each set of equivalent atoms:
Ba 0.0000 0.0000 0.0000
Eu 0.0000 0.0000 0.5000
Bi 0.2500 0.2500 0.7500
Sb 0.2500 0.2500 0.2500
O 0.0167 0.2500 0.2500

Largest 6 diffraction maxima, sorted by position, 15 to 90 degrees two-theta:
2theta  Rel. int.  (hkl)
29.33  100.0  2 2 0
41.96  28.2  4 0 0
52.01  41.3  4 2 2
60.84  17.9  4 4 0
68.95  18.6  6 2 0
84.10  22.3  6 4 2

=====

Record 3
Calculated X-ray diffraction stick pattern of BaEuBiSbO6 for Cu Kα (λ = 1.5418 Å), from a cell relaxed with GGA-PBE.
No peak broadening, texture or thermal motion is included.

Structural model:
Lattice parameters (Å, degrees): 6.0578 6.1351 8.5975 90.22 90.49 90.01
Space group P-1 (No. 2)
One atom of each set of equivalent atoms:
Ba 0.0053 0.0317 0.2506
Eu 0.4868 0.5405 0.2528
Bi 0.0000 0.5000 0.5000
Bi 0.5000 0.0000 0.0000
Sb 0.0000 0.5000 0.0000
Sb 0.5000 0.0000 0.5000
O 0.1034 0.5066 0.7716
O 0.1974 0.7630 0.0451
O 0.2324 0.8027 0.4676
O 0.2694 0.3085 0.0560
O 0.3176 0.2780 0.4489
O 0.4335 0.0489 0.7307

Largest 6 diffraction maxima, sorted by position, 15 to 90 degrees two-theta:
2theta  Rel. int.  (hkl)
29.11  32.2  0 2 0
29.25  67.9  -1 1 2
29.45  100.0  1 -1 2
41.92  32.1  2 2 0
52.01  23.0  2 0 -4
52.40  22.6  3 1 2

=====

Record 4
Calculated X-ray diffraction stick pattern of BaEuYBiO6 for Cu Kα (λ = 1.5418 Å), from a cell relaxed with GGA-PBE.
No peak broadening, texture or thermal motion is included.

Structural model:
Lattice parameters (Å, degrees): 8.6686 8.6686 8.6686 90.00 90.00 90.00
Space group F-43m (No. 216)
One atom of each set of equivalent atoms:
Ba 0.0000 0.0000 0.0000
Eu 0.0000 0.0000 0.5000
Y 0.2500 0.2500 0.2500
Bi 0.2500 0.2500 0.7500
O 0.0052 0.2500 0.7500

Largest 6 diffraction maxima, sorted by position, 15 to 90 degrees two-theta:
2theta  Rel. int.  (hkl)
29.14  100.0  2 2 0
41.68  29.1  4 0 0
51.66  41.7  4 2 2
60.41  18.6  4 4 0
68.45  18.4  6 2 0
83.44  22.1  6 4 2

=====

Record 5
Calculated X-ray diffraction stick pattern of BaEuYBiO6 for Cu Kα (λ = 1.5418 Å), from a cell relaxed with GGA-PBE.
No peak broadening, texture or thermal motion is included.

Structural model:
Lattice parameters (Å, degrees): 6.0793 6.1816 8.6602 90.04 90.08 90.16
Space group P-1 (No. 2)
One atom of each set of equivalent atoms:
Ba 0.0102 0.0367 0.2501
Eu 0.4905 0.5458 0.2505
Y 0.0000 0.5000 0.5000
Y 0.5000 0.0000 0.0000
Bi 0.0000 0.5000 0.0000
Bi 0.5000 0.0000 0.5000
O 0.1034 0.5119 0.7551
O 0.2113 0.7790 0.0460
O 0.2207 0.7861 0.4544
O 0.2958 0.3061 0.0497
O 0.3075 0.2978 0.4514
O 0.4282 0.0379 0.7459

Largest 6 diffraction maxima, sorted by position, 15 to 90 degrees two-theta:
2theta  Rel. int.  (hkl)
28.89  23.6  0 2 0
29.15  100.0  1 -1 2
29.38  24.3  2 0 0
41.73  25.1  0 0 4
51.95  17.2  3 1 -2
68.53  12.7  1 -1 6

=====

Record 6
Calculated X-ray diffraction stick pattern of Ba2Bi2F11 for Cu Kα (λ = 1.5418 Å), from a cell relaxed with GGA-PBE.
No peak broadening, texture or thermal motion is included.

Structural model:
Lattice parameters (Å, degrees): 7.8872 7.8872 15.3973 90.00 90.00 120.00
Space group P3_2 (No. 145)
One atom of each set of equivalent atoms:
Ba 0.1350 0.4103 0.0000
Ba 0.5196 0.1568 0.8357
Bi 0.0295 0.5578 0.7465
Bi 0.1973 0.0446 0.5798
F 0.0055 0.4344 0.1980
F 0.0320 0.7245 0.6042
F 0.1277 0.0704 0.9206
F 0.1791 0.0910 0.4395
F 0.1791 0.4773 0.6510
F 0.2293 0.5579 0.4555
F 0.2763 0.1191 0.7133
F 0.3260 0.0029 0.1634
F 0.4023 0.3451 0.0435
F 0.4222 0.3501 0.5609
F 0.5628 0.2717 0.3717

Largest 6 diffraction maxima, sorted by position, 15 to 90 degrees two-theta:
2theta  Rel. int.  (hkl)
21.66  55.0  0 1 3
23.28  100.0  2 -1 1
25.38  28.5  1 1 2
26.58  53.4  0 1 4
28.58  43.9  2 0 2
41.35  25.7  0 3 2

=====

Record 7
Calculated X-ray diffraction stick pattern of Ba2FeBiS5 for Cu Kα (λ = 1.5418 Å), from a cell relaxed with GGA-PBE.
No peak broadening, texture or thermal motion is included.

Structural model:
Lattice parameters (Å, degrees): 12.2645 8.9804 8.9524 90.00 90.00 90.00
Space group Pnma (No. 62)
One atom of each set of equivalent atoms:
Ba 0.1773 0.0090 0.1168
Fe 0.0948 0.7500 0.8280
Bi 0.0170 0.7500 0.4683
S 0.0042 0.2500 0.9660
S 0.0553 0.5474 0.6823
S 0.2145 0.7500 0.3734
S 0.2265 0.2500 0.3830

Largest 6 diffraction maxima, sorted by position, 15 to 90 degrees two-theta:
2theta  Rel. int.  (hkl)
23.33  73.3  1 2 1
23.93  72.6  3 0 1
24.58  67.7  2 2 0
29.10  100.0  1 2 2
30.83  45.4  4 0 1
31.78  36.6  2 2 2

=====

Record 8
Calculated X-ray diffraction stick pattern of Ba2Ga11BiO20 for Cu Kα (λ = 1.5418 Å), from a cell relaxed with GGA-PBE.
No peak broadening, texture or thermal motion is included.

Structural model:
Lattice parameters (Å, degrees): 15.8772 11.8952 5.1935 90.00 108.12 90.00
Space group Cm (No. 8)
One atom of each set of equivalent atoms:
Ba 0.0000 0.0000 0.0000
Ba 0.2166 0.5000 0.7482
Ga 0.0008 0.3649 0.4962
Ga 0.1370 0.2873 0.1577
Ga 0.1467 0.1368 0.6587
Ga 0.3530 0.3619 0.3444
Ga 0.3663 0.2134 0.8433
Ga 0.4992 0.0000 0.0067
Bi 0.2887 0.0000 0.3649
O 0.0614 0.5000 0.3936
O 0.0701 0.3819 0.8845
O 0.0830 0.2494 0.4249
O 0.1002 0.0000 0.5183
O 0.1488 0.1461 0.0142
O 0.2374 0.3646 0.3431
O 0.2643 0.1303 0.6400
O 0.3546 0.3521 0.9875
O 0.4029 0.5000 0.4746
O 0.4189 0.2487 0.5751
O 0.4249 0.1179 0.1154
O 0.4265 0.0000 0.6090

Largest 6 diffraction maxima, sorted by position, 15 to 90 degrees two-theta:
2theta  Rel. int.  (hkl)
28.01  70.0  4 2 0
28.32  67.5  1 3 -1
28.71  100.0  2 2 1
29.10  39.0  4 2 -1
30.48  64.2  5 1 -1
34.55  52.8  2 0 -2

=====

Record 9
Calculated X-ray diffraction stick pattern of Ba2GaBiTe5 for Cu Kα (λ = 1.5418 Å), from a cell relaxed with GGA-PBE.
No peak broadening, texture or thermal motion is included.

Structural model:
Lattice parameters (Å, degrees): 13.7119 9.8022 10.0497 90.00 90.00 90.00
Space group Pnma (No. 62)
One atom of each set of equivalent atoms:
Ba 0.1744 0.0073 0.1181
Ga 0.1012 0.7500 0.8344
Bi 0.0274 0.7500 0.4760
Te 0.0084 0.2500 0.9552
Te 0.0632 0.5329 0.6791
Te 0.2108 0.2500 0.3926
Te 0.2287 0.7500 0.3734

Largest 6 diffraction maxima, sorted by position, 15 to 90 degrees two-theta:
2theta  Rel. int.  (hkl)
25.39  25.7  0 2 2
26.22  100.0  1 2 2
27.49  34.8  4 0 1
28.58  31.2  2 2 2
31.86  20.0  4 2 0
36.67  44.9  0 4 0

=====

Record 10
Calculated X-ray diffraction stick pattern of BaBi2I2O2 for Cu Kα (λ = 1.5418 Å), from a cell relaxed with GGA-PBE.
No peak broadening, texture or thermal motion is included.

Structural model:
Lattice parameters (Å, degrees): 3.7941 3.7941 28.3095 90.00 90.00 90.00
Space group I-4m2 (No. 119)
One atom of each set of equivalent atoms:
Ba 0.0000 0.0000 0.0000
Bi 0.0000 0.0000 0.1188
I 0.0000 0.0000 0.3084
O 0.0000 0.5000 0.5632

Largest 6 diffraction maxima, sorted by position, 15 to 90 degrees two-theta:
2theta  Rel. int.  (hkl)
23.66  88.9  1 0 1
28.32  100.0  1 0 5
32.35  76.6  1 0 7
33.40  91.8  1 1 0
37.13  71.1  1 0 9
47.96  39.3  2 0 0